Starting from a cell relaxed with PBE, the powder diffractogram of Lu2Ni17 was simulated for λ = 1.5418 Å (Cu Kα).
Neutral-atom scattering factors, no anomalous dispersion.

Cell and atoms:
abc: 8.2009 8.2009 7.9731
angles: 90.00 90.00 120.00
Space group P6_3/mmc (No. 194)
Asymmetric unit:
Lu  0.0000  0.0000  0.2500 x2
Lu  0.3333  0.6667  0.2500 x2
Ni  0.0000  0.5000  0.0000 x6
Ni  0.0404  0.3676  0.7500 x12
Ni  0.1652  0.3304  0.0216 x12
Ni  0.3333  0.6667  0.6010 x4

Principal peaks in the range 2θ from 5° to 70°, most intense first:
| h k l | Position (°2θ) | intensity |
| --- | --- | --- |
| 3 0 2 | 44.5 | 100 |
| 2 2 0 | 44.2 | 60 |
| 3 0 0 | 38.0 | 43 |
| 1 1 2 | 31.3 | 38 |
| 2 0 3 | 42.5 | 38 |
| 0 0 4 | 45.5 | 31 |
| 2 2 2 | 50.0 | 18 |
| 2 2 4 | 65.3 | 17 |
| 4 1 2 | 64.5 | 15 |
| 2 1 3 | 48.2 | 14 |